This entry pairs a crystal structure of LiV6O7F5 with its theoretical X-ray powder pattern. Radiation: Cu Kα. Structure: a GGA+U-relaxed structure.
Neutral-atom scattering factors, no anomalous dispersion.

Atomic structure:
Cell: 5.666 5.687 7.560 Å, 71.08 71.45 72.09°
Space group P1 (No. 1)
Asymmetric unit:
Li (0.000, 0.000, 0.000) (multiplicity 1)
V (0.287, 0.778, 0.702) (multiplicity 1)
V (0.300, 0.785, 0.230) (multiplicity 1)
V (0.610, 0.078, 0.855) (multiplicity 1)
V (0.646, 0.135, 0.390) (multiplicity 1)
V (0.928, 0.484, 0.552) (multiplicity 1)
V (0.929, 0.460, 0.062) (multiplicity 1)
O (0.007, 0.099, 0.211) (multiplicity 1)
O (0.185, 0.680, 0.514) (multiplicity 1)
O (0.361, 0.883, 0.923) (multiplicity 1)
O (0.586, 0.485, 0.215) (multiplicity 1)
O (0.641, 0.776, 0.551) (multiplicity 1)
O (0.726, 0.236, 0.580) (multiplicity 1)
O (0.923, 0.806, 0.877) (multiplicity 1)
F (0.039, 0.577, 0.251) (multiplicity 1)
F (0.249, 0.164, 0.545) (multiplicity 1)
F (0.316, 0.406, 0.885) (multiplicity 1)
F (0.551, 0.016, 0.173) (multiplicity 1)
F (0.845, 0.333, 0.857) (multiplicity 1)

Largest 10 diffraction maxima, most intense first, 2θ = 10–90°:
hkl	2θ/deg	I_rel
1 -1 0	26.7	100.0
1 1 2	26.0	97.3
2 1 0	34.7	47.8
1 -2 2	52.4	32.4
0 1 -2	34.4	27.7
1 0 -2	34.3	25.8
0 2 -1	39.7	24.4
2 -2 0	55.0	20.7
2 2 -2	59.7	19.2
2 2 4	53.5	17.9